No. 1
Structure and calculated powder X-ray diffraction pattern of NdYGa2Pt2 (a DFT-relaxed cell (GGA-PBE, Alexandria); Cu Kα (λ = 1.5418 Å)).
No peak broadening, texture or thermal motion is included.

Crystal structure
Lattice parameters (Å, degrees): 4.4836 4.4836 7.2098 90.00 90.00 120.00
Space group P-3m1 (No. 164)
Inequivalent atoms, fractional coordinates:
Nd  0.0000  0.0000  0.0000 x1
Y  0.0000  0.0000  0.5000 x1
Ga  0.3333  0.6667  0.2683 x2
Pt  0.3333  0.6667  0.7314 x2

Peak list (10 most intense, 10° ≤ 2θ ≤ 80°, by angle)
d 3.605, 24.70 deg, I = 12; d 3.419, 26.07 deg, I = 38; d 2.642, 33.93 deg, I = 100; d 2.242, 40.23 deg, I = 75; d 1.904, 47.78 deg, I = 13; d 1.802, 50.64 deg, I = 11; d 1.709, 53.62 deg, I = 27; d 1.405, 66.57 deg, I = 29; d 1.359, 69.10 deg, I = 25; d 1.294, 73.12 deg, I = 13



No. 2
Structure and calculated powder X-ray diffraction pattern of Tb5IrRh4 (a DFT-relaxed cell (GGA-PBE, Alexandria); Cu Kα (λ = 1.5418 Å)).
No peak broadening, texture or thermal motion is included.

Crystal structure
Lattice parameters (Å, degrees): 3.4043 3.4043 17.6102 90.00 90.00 90.00
Space group P4/mmm (No. 123)
Inequivalent atoms, fractional coordinates:
Tb  0.0000  0.0000  0.0000 x1
Tb  0.0000  0.0000  0.1999 x2
Tb  0.0000  0.0000  0.4010 x2
Ir  0.5000  0.5000  0.5000 x1
Rh  0.5000  0.5000  0.0998 x2
Rh  0.5000  0.5000  0.2989 x2

Peak list (10 most intense, 10° ≤ 2θ ≤ 80°, by angle)
d 8.805, 10.05 deg, I = 2; d 3.404, 26.18 deg, I = 2; d 2.448, 36.72 deg, I = 100; d 2.407, 37.36 deg, I = 48; d 1.761, 51.92 deg, I = 9; d 1.702, 53.86 deg, I = 17; d 1.421, 65.70 deg, I = 18; d 1.397, 66.96 deg, I = 34; d 1.224, 78.09 deg, I = 11; d 1.204, 79.66 deg, I = 5



No. 3
Structure and calculated powder X-ray diffraction pattern of ZnBrO (a DFT-relaxed cell (GGA-PBE, Alexandria); Cu Kα (λ = 1.5418 Å)).
No peak broadening, texture or thermal motion is included.

Crystal structure
Lattice parameters (Å, degrees): 3.3505 5.4625 6.9883 90.00 103.78 90.00
Space group P2_1 (No. 4)
Inequivalent atoms, fractional coordinates:
Zn  0.2318  0.0000  0.4641 x2
Br  0.0036  0.0461  0.0071 x2
O  0.2612  0.3408  0.5220 x2

Peak list (10 most intense, 10° ≤ 2θ ≤ 80°, by angle)
d 3.394, 26.26 deg, I = 100; d 3.253, 27.42 deg, I = 53; d 2.795, 32.02 deg, I = 38; d 2.731, 32.79 deg, I = 39; d 2.415, 37.23 deg, I = 18; d 2.128, 42.49 deg, I = 34; d 2.109, 42.87 deg, I = 26; d 2.091, 43.26 deg, I = 37; d 1.669, 55.00 deg, I = 26; d 1.502, 61.75 deg, I = 16



No. 4
Structure and calculated powder X-ray diffraction pattern of Nd6Mg3N (a DFT-relaxed cell (GGA-PBE, Alexandria); Cu Kα (λ = 1.5418 Å)).
No peak broadening, texture or thermal motion is included.

Crystal structure
Lattice parameters (Å, degrees): 10.7682 10.7682 17.1632 90.00 90.00 120.00
Space group R-3m (No. 166, hexagonal axes)
Inequivalent atoms, fractional coordinates:
Nd  0.1070  0.2140  0.4148 x18
Nd  0.1086  0.2173  0.0852 x18
Mg  0.1096  0.2191  0.7493 x18
N  0.0000  0.0000  0.0000 x3
N  0.0000  0.0000  0.5000 x3

Peak list (10 most intense, 10° ≤ 2θ ≤ 80°, by angle)
d 6.315, 14.02 deg, I = 26; d 3.898, 22.81 deg, I = 9; d 3.109, 28.72 deg, I = 21; d 2.861, 31.27 deg, I = 24; d 2.731, 32.79 deg, I = 100; d 2.105, 42.97 deg, I = 16; d 1.795, 50.88 deg, I = 19; d 1.626, 56.62 deg, I = 20; d 1.520, 60.94 deg, I = 21; d 1.500, 61.86 deg, I = 15



No. 5
Structure and calculated powder X-ray diffraction pattern of Sm3As6Pd20 (a DFT-relaxed cell (GGA-PBE, Alexandria); Cu Kα (λ = 1.5418 Å)).
No peak broadening, texture or thermal motion is included.

Crystal structure
Lattice parameters (Å, degrees): 12.6138 12.6138 12.6138 90.00 90.00 90.00
Space group Fm-3m (No. 225)
Inequivalent atoms, fractional coordinates:
Sm  0.0000  0.0000  0.0000 x4
Sm  0.2500  0.2500  0.2500 x8
As  0.0000  0.0000  0.2640 x24
Pd  0.0000  0.1745  0.1745 x48
Pd  0.1168  0.1168  0.3832 x32

Peak list (10 most intense, 10° ≤ 2θ ≤ 80°, by angle)
d 2.821, 31.72 deg, I = 14; d 2.575, 34.84 deg, I = 24; d 2.428, 37.03 deg, I = 100; d 2.230, 40.45 deg, I = 52; d 2.132, 42.39 deg, I = 27; d 2.102, 43.02 deg, I = 13; d 1.902, 47.83 deg, I = 24; d 1.487, 62.48 deg, I = 26; d 1.457, 63.92 deg, I = 14; d 1.287, 73.57 deg, I = 27



No. 6
Structure and calculated powder X-ray diffraction pattern of InPd6Au (a DFT-relaxed cell (GGA-PBE, Alexandria); Cu Kα (λ = 1.5418 Å)).
No peak broadening, texture or thermal motion is included.

Crystal structure
Lattice parameters (Å, degrees): 5.6797 5.6797 4.6574 90.00 90.00 120.00
Space group P-6m2 (No. 187)
Inequivalent atoms, fractional coordinates:
In  0.0000  0.0000  0.0000 x1
Pd  0.0008  0.5004  0.0000 x3
Pd  0.1680  0.3361  0.5000 x3
Au  0.6667  0.3333  0.5000 x1

Peak list (10 most intense, 10° ≤ 2θ ≤ 80°, by angle)
d 4.919, 18.03 deg, I = 4; d 3.382, 26.35 deg, I = 4; d 2.459, 36.54 deg, I = 24; d 2.329, 38.67 deg, I = 27; d 2.175, 41.52 deg, I = 100; d 1.691, 54.25 deg, I = 15; d 1.420, 65.77 deg, I = 17; d 1.313, 71.92 deg, I = 19; d 1.230, 77.65 deg, I = 3; d 1.212, 78.97 deg, I = 20



No. 7
Structure and calculated powder X-ray diffraction pattern of SiB4 (a DFT-relaxed cell (GGA-PBE, Alexandria); Cu Kα (λ = 1.5418 Å)).
No peak broadening, texture or thermal motion is included.

Crystal structure
Lattice parameters (Å, degrees): 6.2182 6.2182 12.4393 90.00 90.00 120.00
Space group R-3m (No. 166, hexagonal axes)
Inequivalent atoms, fractional coordinates:
Si  0.0000  0.0000  0.0000 x3
Si  0.0000  0.0000  0.1749 x6
B  0.0318  0.5159  0.1934 x18
B  0.1029  0.2059  0.3828 x18

Peak list (10 most intense, 10° ≤ 2θ ≤ 80°, by angle)
d 4.146, 21.43 deg, I = 25; d 3.109, 28.71 deg, I = 100; d 2.632, 34.07 deg, I = 88; d 2.258, 39.92 deg, I = 38; d 2.009, 45.14 deg, I = 33; d 1.827, 49.91 deg, I = 46; d 1.725, 53.09 deg, I = 32; d 1.555, 59.46 deg, I = 27; d 1.357, 69.23 deg, I = 22; d 1.244, 76.61 deg, I = 21



No. 8
Structure and calculated powder X-ray diffraction pattern of Ac6Tl3Pb2 (a DFT-relaxed cell (GGA-PBE, Alexandria); Cu Kα (λ = 1.5418 Å)).
No peak broadening, texture or thermal motion is included.

Crystal structure
Lattice parameters (Å, degrees): 6.5131 6.5131 22.5843 90.00 90.00 90.00
Space group I4/mmm (No. 139)
Inequivalent atoms, fractional coordinates:
Ac  0.0000  0.0000  0.2116 x4
Ac  0.0000  0.5000  0.0880 x8
Tl  0.0000  0.0000  0.3543 x4
Tl  0.0000  0.0000  0.5000 x2
Pb  0.0000  0.0000  0.0667 x4

Peak list (10 most intense, 10° ≤ 2θ ≤ 80°, by angle)
d 3.569, 24.95 deg, I = 16; d 3.257, 27.39 deg, I = 100; d 2.914, 30.68 deg, I = 26; d 2.891, 30.93 deg, I = 56; d 2.303, 39.12 deg, I = 40; d 2.162, 41.78 deg, I = 50; d 1.801, 50.68 deg, I = 14; d 1.628, 56.51 deg, I = 17; d 1.576, 58.56 deg, I = 19; d 1.456, 63.92 deg, I = 21



No. 9
Structure and calculated powder X-ray diffraction pattern of LaDy9Ho2 (a DFT-relaxed cell (GGA-PBE, Alexandria); Cu Kα (λ = 1.5418 Å)).
No peak broadening, texture or thermal motion is included.

Crystal structure
Lattice parameters (Å, degrees): 11.2590 11.2590 3.5205 90.00 90.00 120.00
Space group P6/mmm (No. 191)
Inequivalent atoms, fractional coordinates:
La  0.0000  0.0000  0.0000 x1
Dy  0.0000  0.5000  0.0000 x3
Dy  0.1791  0.3582  0.5000 x6
Ho  0.3333  0.6667  0.0000 x2

Peak list (10 most intense, 10° ≤ 2θ ≤ 80°, by angle)
d 2.985, 29.94 deg, I = 25; d 2.854, 31.34 deg, I = 53; d 2.815, 31.79 deg, I = 100; d 2.546, 35.26 deg, I = 24; d 2.388, 37.67 deg, I = 15; d 2.004, 45.25 deg, I = 17; d 1.821, 50.09 deg, I = 11; d 1.633, 56.36 deg, I = 18; d 1.625, 56.64 deg, I = 17; d 1.492, 62.20 deg, I = 29



No. 10
Structure and calculated powder X-ray diffraction pattern of AcLa3Pm8 (a DFT-relaxed cell (GGA-PBE, Alexandria); Cu Kα (λ = 1.5418 Å)).
No peak broadening, texture or thermal motion is included.

Crystal structure
Lattice parameters (Å, degrees): 6.5570 11.7687 12.0098 90.00 90.00 90.00
Space group Immm (No. 71)
Inequivalent atoms, fractional coordinates:
Ac  0.0000  0.0000  0.0000 x2
La  0.0000  0.2442  0.5000 x4
La  0.0000  0.5000  0.0000 x2
Pm  0.0000  0.2517  0.1778 x8
Pm  0.2452  0.0000  0.2585 x8

Peak list (10 most intense, 10° ≤ 2θ ≤ 80°, by angle)
d 5.753, 15.40 deg, I = 21; d 4.114, 21.60 deg, I = 22; d 2.955, 30.25 deg, I = 100; d 2.942, 30.38 deg, I = 55; d 2.878, 31.08 deg, I = 23; d 2.864, 31.23 deg, I = 38; d 2.585, 34.70 deg, I = 51; d 1.824, 50.01 deg, I = 24; d 1.708, 53.65 deg, I = 21; d 1.477, 62.91 deg, I = 25



No. 11
Structure and calculated powder X-ray diffraction pattern of CaAgMoPd (a DFT-relaxed cell (GGA-PBE, Alexandria); Cu Kα (λ = 1.5418 Å)).
No peak broadening, texture or thermal motion is included.

Crystal structure
Lattice parameters (Å, degrees): 2.8673 4.8640 5.2405 90.00 90.00 90.00
Space group Pmm2 (No. 25)
Inequivalent atoms, fractional coordinates:
Ca  0.0000  0.0000  0.0000 x1
Ag  0.5000  0.5000  0.8500 x1
Mo  0.0000  0.5000  0.3773 x1
Pd  0.5000  0.0000  0.4978 x1

Peak list (10 most intense, 10° ≤ 2θ ≤ 80°, by angle)
d 2.620, 34.22 deg, I = 21; d 2.515, 35.69 deg, I = 17; d 2.432, 36.96 deg, I = 39; d 2.307, 39.05 deg, I = 38; d 2.234, 40.37 deg, I = 100; d 1.783, 51.25 deg, I = 13; d 1.748, 52.33 deg, I = 12; d 1.492, 62.23 deg, I = 14; d 1.363, 68.90 deg, I = 19; d 1.272, 74.64 deg, I = 16



No. 12
Structure and calculated powder X-ray diffraction pattern of TaTi2Ir (a DFT-relaxed cell (GGA-PBE, Alexandria); Cu Kα (λ = 1.5418 Å)).
No peak broadening, texture or thermal motion is included.

Crystal structure
Lattice parameters (Å, degrees): 4.5582 4.5582 3.0733 90.00 90.00 90.00
Space group P4/mmm (No. 123)
Inequivalent atoms, fractional coordinates:
Ta  0.0000  0.0000  0.0000 x1
Ti  0.0000  0.5000  0.5000 x2
Ir  0.5000  0.5000  0.0000 x1

Peak list (10 most intense, 10° ≤ 2θ ≤ 80°, by angle)
d 3.223, 27.68 deg, I = 47; d 3.073, 29.06 deg, I = 21; d 2.279, 39.54 deg, I = 54; d 2.224, 40.56 deg, I = 100; d 1.831, 49.81 deg, I = 20; d 1.612, 57.16 deg, I = 18; d 1.441, 64.67 deg, I = 10; d 1.427, 65.39 deg, I = 9; d 1.305, 72.42 deg, I = 36; d 1.274, 74.47 deg, I = 16